Structure and simulated PXRD pattern of Mg2Cd (a DFT-relaxed cell (PBE, the Materials Project); Cu Kα (λ = 1.5418 Å)).

Largest 6 diffraction maxima, low angle first, 2θ from 10° to 90°:
- 4.714 Å, 18.8 deg, I = 77, (2 0 0)
- 3.469 Å, 25.7 deg, I = 76, (1 1 1)
- 2.572 Å, 34.9 deg, I = 39, (0 0 2)
- 2.405 Å, 37.4 deg, I = 100, (3 1 1)
- 2.397 Å, 37.5 deg, I = 45, (0 2 1)
- 1.450 Å, 64.2 deg, I = 28, (3 1 3)

Cell and atoms:
Unit cell a=9.4417 b=5.4177 c=5.1433 alpha=90.00 beta=90.00 gamma=90.00
Atoms (fractional coordinates):
1 Mg 0.1639 0.1707 0.2500
2 Mg 0.1639 0.8293 0.7500
3 Mg 0.3361 0.3293 0.7500
4 Mg 0.3361 0.6707 0.2500
5 Mg 0.6639 0.3293 0.7500
6 Mg 0.6639 0.6707 0.2500
7 Mg 0.8361 0.1707 0.2500
8 Mg 0.8361 0.8293 0.7500
9 Cd 0.0000 0.3289 0.7500
10 Cd 0.0000 0.6711 0.2500
11 Cd 0.5000 0.1711 0.2500
12 Cd 0.5000 0.8289 0.7500